The following is a theoretical X-ray diffraction stick pattern of Tb2SbS4. It was derived from a cell relaxed with GGA-PBE, using CuKα.

Crystal structure
```
data_Tb2SbS4
_cell_length_a 15.1468
_cell_length_b 3.8877
_cell_length_c 6.9992
_cell_angle_alpha 90.00
_cell_angle_beta 113.43
_cell_angle_gamma 90.00
_space_group_name_H-M_alt 'C 1 2/m 1'
_space_group_IT_number 12
loop_
_space_group_symop_operation_xyz
'x,y,z'
'-x,-y,-z'
'-x,y,-z'
'x,-y,z'
'x+1/2,y+1/2,z'
'-x+1/2,-y+1/2,-z'
'-x+1/2,y+1/2,-z'
'x+1/2,-y+1/2,z'
loop_
_atom_site_label
_atom_site_type_symbol
_atom_site_fract_x
_atom_site_fract_y
_atom_site_fract_z
Tb1 Tb 0.2344 0.0000 0.2383
Sb1 Sb 0.0000 0.5000 0.5000
S1 S 0.1353 0.5000 0.3406
S2 S 0.1466 0.0000 0.8127
```

Main lines, in order of rising 2θ (2θ = 15–90°):
two_theta, intensity
25.52, 431
25.64, 295
26.24, 1000
29.67, 439
35.14, 464
36.35, 505
37.66, 662
37.79, 264
45.42, 476
46.72, 395

=====

The following is a theoretical X-ray diffraction stick pattern of Ti5Sb2S. It was derived from a cell relaxed with GGA-PBE, using CuKα.

Crystal structure
```
data_Ti5Sb2S
_cell_length_a 4.6502
_cell_length_b 13.4673
_cell_length_c 11.3122
_cell_angle_alpha 90.00
_cell_angle_beta 90.00
_cell_angle_gamma 90.00
_space_group_name_H-M_alt 'C m c m'
_space_group_IT_number 63
_space_group_name_Hall '-C 2c 2'
loop_
_atom_site_label
_atom_site_type_symbol
_atom_site_fract_x
_atom_site_fract_y
_atom_site_fract_z
Ti1 Ti 0.0000 0.0967 0.1326
Ti2 Ti 0.0000 0.2860 0.7500
Ti3 Ti 0.0000 0.2952 0.0406
Sb1 Sb 0.0000 0.1093 0.6078
S1 S 0.0000 0.2473 0.2500
```

Main lines, in order of rising 2θ (2θ = 15–90°):
two_theta, intensity
20.20, 832
27.10, 357
34.39, 152
36.64, 231
37.83, 456
38.67, 1000
41.71, 296
42.49, 163
50.78, 166
58.22, 210

=====

The following is a theoretical X-ray diffraction stick pattern of TlSb3S5. It was derived from a cell relaxed with GGA-PBE, using CuKα.

Crystal structure
```
data_TlSb3S5
_cell_length_a 7.4936
_cell_length_b 16.0353
_cell_length_c 9.1660
_cell_angle_alpha 90.00
_cell_angle_beta 114.18
_cell_angle_gamma 90.00
_space_group_name_H-M_alt 'P 1 21/c 1'
_space_group_IT_number 14
loop_
_space_group_symop_operation_xyz
'x,y,z'
'-x,-y,-z'
'-x,y+1/2,-z+1/2'
'x,-y+1/2,z+1/2'
loop_
_atom_site_label
_atom_site_type_symbol
_atom_site_fract_x
_atom_site_fract_y
_atom_site_fract_z
Tl1 Tl 0.0375 0.2401 0.0347
Sb1 Sb 0.0084 0.5013 0.2144
Sb2 Sb 0.4619 0.5975 0.1125
Sb3 Sb 0.4973 0.6289 0.5651
S1 S 0.2083 0.6283 0.8410
S2 S 0.2248 0.0595 0.6004
S3 S 0.2542 0.0578 0.0005
S4 S 0.2835 0.6568 0.2651
S5 S 0.3376 0.2299 0.3861
```

Main lines, in order of rising 2θ (2θ = 15–90°):
two_theta, intensity
22.76, 290
24.00, 272
25.76, 1000
26.07, 276
28.37, 455
29.79, 305
31.35, 264
32.59, 149
45.81, 220
52.96, 141

=====

The following is a theoretical X-ray diffraction stick pattern of Tl5SbS5. It was derived from a cell relaxed with GGA-PBE, using CuKα.

Crystal structure
```
data_Tl5SbS5
_cell_length_a 12.7969
_cell_length_b 6.0042
_cell_length_c 8.3838
_cell_angle_alpha 90.00
_cell_angle_beta 102.69
_cell_angle_gamma 90.00
_space_group_name_H-M_alt 'C 1 2/m 1'
_space_group_IT_number 12
loop_
_space_group_symop_operation_xyz
'x,y,z'
'-x,-y,-z'
'-x,y,-z'
'x,-y,z'
'x+1/2,y+1/2,z'
'-x+1/2,-y+1/2,-z'
'-x+1/2,y+1/2,-z'
'x+1/2,-y+1/2,z'
loop_
_atom_site_label
_atom_site_type_symbol
_atom_site_fract_x
_atom_site_fract_y
_atom_site_fract_z
Tl1 Tl 0.0000 0.0000 0.0000
Tl2 Tl 0.1577 0.5000 0.8599
Tl3 Tl 0.1808 0.5000 0.3688
Sb1 Sb 0.0000 0.0000 0.5000
S1 S 0.0000 0.5000 0.5000
S2 S 0.1525 0.0000 0.7851
S3 S 0.1629 0.0000 0.3306
```

Main lines, in order of rising 2θ (2θ = 15–90°):
two_theta, intensity
26.04, 1000
28.60, 387
29.76, 357
32.03, 266
41.75, 241
43.47, 193
44.28, 229
49.13, 142
50.60, 182
53.56, 330

=====

The following is a theoretical X-ray diffraction stick pattern of Tl5Sb2S4. It was derived from a cell relaxed with GGA-PBE, using CuKα.

Crystal structure
```
data_Tl5Sb2S4
_cell_length_a 3.8984
_cell_length_b 8.6825
_cell_length_c 12.1882
_cell_angle_alpha 69.22
_cell_angle_beta 80.87
_cell_angle_gamma 77.17
_space_group_name_H-M_alt 'P -1'
_space_group_IT_number 2
loop_
_space_group_symop_operation_xyz
'x,y,z'
'-x,-y,-z'
loop_
_atom_site_label
_atom_site_type_symbol
_atom_site_fract_x
_atom_site_fract_y
_atom_site_fract_z
Tl1 Tl 0.0000 0.0000 0.0000
Tl2 Tl 0.3452 0.7246 0.5885
Tl3 Tl 0.3464 0.1008 0.2099
Sb1 Sb 0.0078 0.6420 0.3387
S1 S 0.1445 0.1082 0.5995
S2 S 0.4700 0.2447 0.8169
```

Main lines, in order of rising 2θ (2θ = 15–90°):
two_theta, intensity
15.54, 535
26.00, 519
28.52, 999
29.48, 216
29.70, 394
31.94, 1000
34.15, 395
35.52, 338
44.99, 270
49.76, 286

=====

The following is a theoretical X-ray diffraction stick pattern of TlSb2S3. It was derived from a cell relaxed with GGA-PBE, using CuKα.

Crystal structure
```
data_TlSb2S3
_cell_length_a 5.9294
_cell_length_b 6.4830
_cell_length_c 9.9303
_cell_angle_alpha 75.59
_cell_angle_beta 80.48
_cell_angle_gamma 79.62
_space_group_name_H-M_alt 'P -1'
_space_group_IT_number 2
loop_
_space_group_symop_operation_xyz
'x,y,z'
'-x,-y,-z'
loop_
_atom_site_label
_atom_site_type_symbol
_atom_site_fract_x
_atom_site_fract_y
_atom_site_fract_z
Tl1 Tl 0.2079 0.2755 0.4826
Sb1 Sb 0.1851 0.7773 0.8426
Sb2 Sb 0.4378 0.2928 0.8581
S1 S 0.0706 0.2074 0.8264
S2 S 0.2625 0.7961 0.5944
S3 S 0.4027 0.1845 0.1208
```

Main lines, in order of rising 2θ (2θ = 15–90°):
two_theta, intensity
18.92, 606
23.06, 771
23.69, 490
23.85, 385
28.06, 970
28.74, 1000
31.43, 538
35.55, 332
37.19, 345
43.17, 296

=====

The following is a theoretical X-ray diffraction stick pattern of Tl2Sb2S5. It was derived from a cell relaxed with GGA-PBE, using CuKα.

Crystal structure
```
data_Tl2Sb2S5
_cell_length_a 5.6625
_cell_length_b 6.5735
_cell_length_c 8.5116
_cell_angle_alpha 109.07
_cell_angle_beta 91.40
_cell_angle_gamma 111.75
_space_group_name_H-M_alt 'P -1'
_space_group_IT_number 2
loop_
_space_group_symop_operation_xyz
'x,y,z'
'-x,-y,-z'
loop_
_atom_site_label
_atom_site_type_symbol
_atom_site_fract_x
_atom_site_fract_y
_atom_site_fract_z
Tl1 Tl 0.0259 0.1936 0.2665
Sb1 Sb 0.3269 0.7022 0.1441
S1 S 0.1132 0.3297 0.8322
S2 S 0.4796 0.9076 0.5810
S3 S 0.5000 0.0000 0.0000
```

Main lines, in order of rising 2θ (2θ = 15–90°):
two_theta, intensity
19.62, 507
22.22, 987
22.41, 680
22.62, 1000
26.29, 683
27.97, 596
30.56, 716
31.40, 813
31.68, 784
46.61, 506

=====

The following is a theoretical X-ray diffraction stick pattern of Tl3SbS. It was derived from a cell relaxed with GGA-PBE, using CuKα.

Crystal structure
```
data_Tl3SbS
_cell_length_a 4.1254
_cell_length_b 8.0850
_cell_length_c 9.9503
_cell_angle_alpha 89.60
_cell_angle_beta 89.96
_cell_angle_gamma 89.99
_space_group_name_H-M_alt 'P -1'
_space_group_IT_number 2
loop_
_space_group_symop_operation_xyz
'x,y,z'
'-x,-y,-z'
loop_
_atom_site_label
_atom_site_type_symbol
_atom_site_fract_x
_atom_site_fract_y
_atom_site_fract_z
Tl1 Tl 0.2490 0.4504 0.3373
Tl2 Tl 0.2500 0.1506 0.6209
Tl3 Tl 0.2496 0.8590 0.9020
Sb1 Sb 0.2501 0.4273 0.9157
S1 S 0.2499 0.1017 0.3189
```

Main lines, in order of rising 2θ (2θ = 15–90°):
two_theta, intensity
25.82, 1000
28.10, 326
28.35, 633
28.55, 396
32.32, 721
33.24, 321
34.70, 444
36.10, 332
43.89, 363
58.09, 324

=====

The following is a theoretical X-ray diffraction stick pattern of Tl2Sb2S5. It was derived from a cell relaxed with GGA-PBE, using CuKα.

Crystal structure
```
data_Tl2Sb2S5
_cell_length_a 13.8763
_cell_length_b 5.5409
_cell_length_c 7.3790
_cell_angle_alpha 90.00
_cell_angle_beta 110.03
_cell_angle_gamma 90.00
_space_group_name_H-M_alt 'C 1 2/m 1'
_space_group_IT_number 12
loop_
_space_group_symop_operation_xyz
'x,y,z'
'-x,-y,-z'
'-x,y,-z'
'x,-y,z'
'x+1/2,y+1/2,z'
'-x+1/2,-y+1/2,-z'
'-x+1/2,y+1/2,-z'
'x+1/2,-y+1/2,z'
loop_
_atom_site_label
_atom_site_type_symbol
_atom_site_fract_x
_atom_site_fract_y
_atom_site_fract_z
Tl1 Tl 0.1090 0.0000 0.3260
Sb1 Sb 0.1499 0.5000 0.8677
S1 S 0.0000 0.5000 0.0000
S2 S 0.1519 0.5000 0.5500
S3 S 0.1681 0.0000 0.9196
```

Main lines, in order of rising 2θ (2θ = 15–90°):
two_theta, intensity
22.99, 1000
24.61, 490
25.76, 519
25.92, 172
27.36, 392
32.31, 442
33.17, 188
40.79, 264
41.04, 255
42.84, 233

=====

The following is a theoretical X-ray diffraction stick pattern of TlSbS2. It was derived from a cell relaxed with GGA-PBE, using CuKα.

Crystal structure
```
data_TlSbS2
_cell_length_a 6.3334
_cell_length_b 6.4974
_cell_length_c 12.7679
_cell_angle_alpha 90.00
_cell_angle_beta 111.38
_cell_angle_gamma 90.00
_space_group_name_H-M_alt 'P 1 2/c 1'
_space_group_IT_number 13
loop_
_space_group_symop_operation_xyz
'x,y,z'
'-x,-y,-z'
'-x,y,-z+1/2'
'x,-y,z+1/2'
loop_
_atom_site_label
_atom_site_type_symbol
_atom_site_fract_x
_atom_site_fract_y
_atom_site_fract_z
Tl1 Tl 0.1378 0.2331 0.1210
Sb1 Sb 0.4073 0.3029 0.8744
S1 S 0.2201 0.2855 0.6494
S2 S 0.3574 0.3248 0.3830
```

Main lines, in order of rising 2θ (2θ = 15–90°):
two_theta, intensity
23.52, 1000
25.96, 728
27.45, 622
28.47, 701
30.07, 612
38.72, 255
39.96, 389
41.16, 412
46.14, 204
48.12, 211

=====

The following is a theoretical X-ray diffraction stick pattern of TmTl2SbS4. It was derived from a cell relaxed with GGA-PBE, using CuKα.

Crystal structure
```
data_TmTl2SbS4
_cell_length_a 8.2377
_cell_length_b 8.4845
_cell_length_c 11.8338
_cell_angle_alpha 90.00
_cell_angle_beta 90.00
_cell_angle_gamma 90.00
_space_group_name_H-M_alt 'I m m a'
_space_group_IT_number 74
_space_group_name_Hall '-I 2b 2'
loop_
_atom_site_label
_atom_site_type_symbol
_atom_site_fract_x
_atom_site_fract_y
_atom_site_fract_z
Tm1 Tm 0.2500 0.2500 0.2500
Tl1 Tl 0.0000 0.0000 0.0000
Tl2 Tl 0.2500 0.2500 0.7500
Sb1 Sb 0.0000 0.0000 0.5000
S1 S 0.0000 0.0360 0.2643
S2 S 0.2241 0.2500 0.4820
```

Main lines, in order of rising 2θ (2θ = 15–90°):
two_theta, intensity
25.84, 466
26.36, 439
30.23, 1000
42.62, 125
43.27, 484
50.82, 170
51.70, 157
53.13, 128
54.27, 123
71.32, 206

=====

The following is a theoretical X-ray diffraction stick pattern of UTl2SbS6. It was derived from a cell relaxed with GGA-PBE, using CuKα.

Crystal structure
```
data_UTl2SbS6
_cell_length_a 7.2860
_cell_length_b 10.3286
_cell_length_c 7.3376
_cell_angle_alpha 90.00
_cell_angle_beta 90.00
_cell_angle_gamma 90.00
_space_group_name_H-M_alt 'P m m n'
_space_group_IT_number 59
loop_
_space_group_symop_operation_xyz
'x,y,z'
'-x,-y,-z'
'-x+1/2,-y+1/2,z'
'x+1/2,y+1/2,-z'
'x+1/2,-y,-z'
'-x+1/2,y,z'
'-x,y+1/2,-z'
'x,-y+1/2,z'
loop_
_atom_site_label
_atom_site_type_symbol
_atom_site_fract_x
_atom_site_fract_y
_atom_site_fract_z
U1 U 0.2500 0.2500 0.2458
Tl1 Tl 0.2500 0.5049 0.7695
Sb1 Sb 0.2500 0.7500 0.2567
S1 S 0.0047 0.2500 0.9996
S2 S 0.0045 0.2500 0.4871
S3 S 0.2500 0.0049 0.2290
```

Main lines, in order of rising 2θ (2θ = 15–90°):
two_theta, intensity
24.26, 195
24.38, 1000
34.72, 470
42.77, 267
42.95, 279
49.92, 217
56.30, 165
67.96, 96
78.59, 94
83.71, 95